Structure and calculated powder diffraction line list of Ba4InGe3 (a structure optimized by DFT (PBE); CuKα).
Neutral-atom scattering factors, no anomalous dispersion.

The 10 most intense peaks (2θ from 10° to 90°), low angle first:
27.4°, rel. 100; 27.6°, rel. 55; 28.5°, rel. 20; 34.2°, rel. 67; 34.9°, rel. 23; 35.1°, rel. 34; 40.1°, rel. 24; 49.4°, rel. 22; 54.3°, rel. 35; 69.6°, rel. 19

Atomic structure:
```
data_Ba4InGe3
_chemical_formula_sum 'Ba4 In1 Ge3'
_symmetry_space_group_name_H-M 'P m m 2'
_symmetry_Int_Tables_number 25
_cell_length_a 4.4935
_cell_length_b 5.1141
_cell_length_c 12.5271
_cell_angle_alpha 90.00
_cell_angle_beta 90.00
_cell_angle_gamma 90.00
loop_
_symmetry_equiv_pos_as_xyz
'x,y,z'
'-x,-y,z'
'-x,y,z'
'x,-y,z'
loop_
_atom_site_label
_atom_site_type_symbol
_atom_site_fract_x
_atom_site_fract_y
_atom_site_fract_z
_atom_site_occupancy
Ba1 Ba 0.0000 0.0000 0.0000 1
Ba2 Ba 0.0000 0.5000 0.4810 1
Ba3 Ba 0.5000 0.0000 0.7099 1
Ba4 Ba 0.5000 0.5000 0.2188 1
In1 In 0.0000 0.5000 0.7925 1
Ge1 Ge 0.0000 0.0000 0.2893 1
Ge2 Ge 0.5000 0.0000 0.4138 1
Ge3 Ge 0.5000 0.5000 0.9280 1
```